1.
Structure and computed powder X-ray diffraction pattern of CdSnO3 (a GGA-PBE-relaxed structure; Cu Kα, 1.54184 Å).
Peak positions follow from Bragg's law for the DFT cell and can differ from measured ones.

Principal peaks in the range 2θ = 10–80°, sorted by position:
d_spacing	I_rel
5.453	1000
4.001	633
3.908	865
2.870	910
2.858	909
2.809	668
2.715	515
2.570	381
2.550	582
2.122	879
2.114	381
1.690	369

Structure:
Cell lengths 3.3653, 5.7865, 8.4892 Å; angles 109.52, 90.15, 90.21 degrees
Atoms (fractional coordinates):
Cd (0.2469, 0.2055, 0.1636)
Cd (0.7531, 0.7945, 0.8364)
Sn (0.2532, 0.1691, 0.6690)
Sn (0.7468, 0.8309, 0.3310)
O (0.2451, 0.6017, 0.2816)
O (0.2505, 0.0979, 0.4115)
O (0.2542, 0.0758, 0.8807)
O (0.7458, 0.9242, 0.1193)
O (0.7495, 0.9021, 0.5885)
O (0.7549, 0.3983, 0.7184)

2.
Structure and computed powder X-ray diffraction pattern of CdSnO3 (a GGA-PBE-relaxed structure; Cu Kα, 1.54184 Å).
Peak positions follow from Bragg's law for the DFT cell and can differ from measured ones.

Principal peaks in the range 2θ = 10–80°, sorted by position:
d_spacing	I_rel
2.839	225
2.824	1000
2.777	229
2.009	129
1.985	216
1.640	109
1.636	157
1.628	115
1.612	231
1.412	122
1.269	91
1.257	60

Structure:
Cell lengths 5.6779, 8.0357, 5.5540 Å; angles 90.00, 90.00, 90.00 degrees
Atoms (fractional coordinates):
Cd (0.0473, 0.2500, 0.0121)
Cd (0.4527, 0.7500, 0.5121)
Cd (0.5473, 0.2500, 0.4879)
Cd (0.9527, 0.7500, 0.9879)
Sn (0.0000, 0.0000, 0.5000)
Sn (0.0000, 0.5000, 0.5000)
Sn (0.5000, 0.0000, 0.0000)
Sn (0.5000, 0.5000, 0.0000)
O (0.0507, 0.7500, 0.3865)
O (0.1973, 0.5612, 0.8058)
O (0.1973, 0.9388, 0.8058)
O (0.3027, 0.0612, 0.3058)
O (0.3027, 0.4388, 0.3058)
O (0.4493, 0.2500, 0.8865)
O (0.5507, 0.7500, 0.1135)
O (0.6973, 0.5612, 0.6942)
O (0.6973, 0.9388, 0.6942)
O (0.8027, 0.0612, 0.1942)
O (0.8027, 0.4388, 0.1942)
O (0.9493, 0.2500, 0.6135)

3.
Structure and computed powder X-ray diffraction pattern of Ta2CdO6 (a GGA-PBE-relaxed structure; Cu Kα, 1.54184 Å).
Peak positions follow from Bragg's law for the DFT cell and can differ from measured ones.

Principal peaks in the range 2θ = 10–80°, sorted by position:
d_spacing	I_rel
3.840	252
3.085	1000
3.001	97
2.594	355
2.498	119
2.148	86
1.857	146
1.799	365
1.575	145
1.533	130
1.510	144
1.249	96

Structure:
Cell lengths 14.9862, 6.0025, 5.1816 Å; angles 90.00, 90.00, 90.00 degrees
Atoms (fractional coordinates):
Ta (0.1662, 0.1737, 0.2419)
Ta (0.1662, 0.8263, 0.7419)
Ta (0.3338, 0.3263, 0.7419)
Ta (0.3338, 0.6737, 0.2419)
Ta (0.6662, 0.3263, 0.7581)
Ta (0.6662, 0.6737, 0.2581)
Ta (0.8338, 0.1737, 0.2581)
Ta (0.8338, 0.8263, 0.7581)
Cd (0.0000, 0.3179, 0.7500)
Cd (0.0000, 0.6821, 0.2500)
Cd (0.5000, 0.1821, 0.2500)
Cd (0.5000, 0.8179, 0.7500)
O (0.0867, 0.3755, 0.1136)
O (0.0867, 0.6245, 0.6136)
O (0.1054, 0.0914, 0.5614)
O (0.1054, 0.9086, 0.0614)
O (0.2455, 0.1325, 0.9194)
O (0.2455, 0.8675, 0.4194)
O (0.2545, 0.3675, 0.4194)
O (0.2545, 0.6325, 0.9194)
O (0.3946, 0.4086, 0.0614)
O (0.3946, 0.5914, 0.5614)
O (0.4133, 0.1245, 0.6136)
O (0.4133, 0.8755, 0.1136)
O (0.5867, 0.1245, 0.8864)
O (0.5867, 0.8755, 0.3864)
O (0.6054, 0.4086, 0.4386)
O (0.6054, 0.5914, 0.9386)
O (0.7455, 0.3675, 0.0806)
O (0.7455, 0.6325, 0.5806)
O (0.7545, 0.1325, 0.5806)
O (0.7545, 0.8675, 0.0806)
O (0.8946, 0.0914, 0.9386)
O (0.8946, 0.9086, 0.4386)
O (0.9133, 0.3755, 0.3864)
O (0.9133, 0.6245, 0.8864)

4.
Structure and computed powder X-ray diffraction pattern of Ta2Cd2O7 (a GGA-PBE-relaxed structure; Cu Kα, 1.54184 Å).
Peak positions follow from Bragg's law for the DFT cell and can differ from measured ones.

Principal peaks in the range 2θ = 10–80°, sorted by position:
d_spacing	I_rel
6.073	90
3.172	61
3.037	1000
2.630	368
2.024	21
1.860	429
1.778	16
1.586	433
1.518	116
1.370	18
1.315	65
1.207	175

Structure:
Cell lengths 7.4383, 7.4383, 7.4383 Å; angles 60.00, 60.00, 60.00 degrees
Atoms (fractional coordinates):
Ta (0.0000, 0.0000, 0.0000)
Ta (0.0000, 0.0000, 0.5000)
Ta (0.0000, 0.5000, 0.0000)
Ta (0.5000, 0.0000, 0.0000)
Cd (0.0000, 0.5000, 0.5000)
Cd (0.5000, 0.0000, 0.5000)
Cd (0.5000, 0.5000, 0.0000)
Cd (0.5000, 0.5000, 0.5000)
O (0.0666, 0.0666, 0.6834)
O (0.0666, 0.6834, 0.0666)
O (0.0666, 0.6834, 0.6834)
O (0.3166, 0.3166, 0.9334)
O (0.3166, 0.9334, 0.3166)
O (0.3166, 0.9334, 0.9334)
O (0.3750, 0.3750, 0.3750)
O (0.6250, 0.6250, 0.6250)
O (0.6834, 0.0666, 0.0666)
O (0.6834, 0.0666, 0.6834)
O (0.6834, 0.6834, 0.0666)
O (0.9334, 0.3166, 0.3166)
O (0.9334, 0.3166, 0.9334)
O (0.9334, 0.9334, 0.3166)

5.
Structure and computed powder X-ray diffraction pattern of CdTcO3 (a GGA-PBE-relaxed structure; Cu Kα, 1.54184 Å).
Peak positions follow from Bragg's law for the DFT cell and can differ from measured ones.

Principal peaks in the range 2θ = 10–80°, sorted by position:
d_spacing	I_rel
3.490	41
2.771	1000
2.729	195
1.973	111
1.945	180
1.710	46
1.608	84
1.600	211
1.583	184
1.385	99
1.246	68
1.232	43

Structure:
Cell lengths 5.5484, 7.8912, 5.4578 Å; angles 90.00, 90.00, 90.00 degrees
Atoms (fractional coordinates):
Cd (0.0454, 0.2500, 0.0079)
Cd (0.4546, 0.7500, 0.5079)
Cd (0.5454, 0.2500, 0.4921)
Cd (0.9546, 0.7500, 0.9921)
Tc (0.0000, 0.0000, 0.5000)
Tc (0.0000, 0.5000, 0.5000)
Tc (0.5000, 0.0000, 0.0000)
Tc (0.5000, 0.5000, 0.0000)
O (0.0434, 0.7500, 0.3990)
O (0.1955, 0.5538, 0.8065)
O (0.1955, 0.9462, 0.8065)
O (0.3045, 0.0538, 0.3065)
O (0.3045, 0.4462, 0.3065)
O (0.4566, 0.2500, 0.8990)
O (0.5434, 0.7500, 0.1010)
O (0.6955, 0.5538, 0.6935)
O (0.6955, 0.9462, 0.6935)
O (0.8045, 0.0538, 0.1935)
O (0.8045, 0.4462, 0.1935)
O (0.9566, 0.2500, 0.6010)

6.
Structure and computed powder X-ray diffraction pattern of CdTeO3 (a GGA-PBE-relaxed structure; Cu Kα, 1.54184 Å).
Peak positions follow from Bragg's law for the DFT cell and can differ from measured ones.

Principal peaks in the range 2θ = 10–80°, sorted by position:
d_spacing	I_rel
3.740	153
3.595	203
3.260	196
3.158	469
3.076	1000
2.968	529
2.863	425
2.688	150
2.151	166
1.868	169
1.717	239
1.691	172

Structure:
Cell lengths 7.9810, 11.4514, 7.5957 Å; angles 90.00, 113.93, 90.00 degrees
Atoms (fractional coordinates):
Cd (0.0038, 0.2339, 0.4764)
Cd (0.0038, 0.2661, 0.9764)
Cd (0.2686, 0.0085, 0.8066)
Cd (0.2686, 0.4915, 0.3066)
Cd (0.7314, 0.5085, 0.6934)
Cd (0.7314, 0.9915, 0.1934)
Cd (0.9962, 0.7339, 0.0236)
Cd (0.9962, 0.7661, 0.5236)
Te (0.1641, 0.0002, 0.2592)
Te (0.1641, 0.4998, 0.7592)
Te (0.4981, 0.7425, 0.3763)
Te (0.4981, 0.7575, 0.8763)
Te (0.5019, 0.2425, 0.1237)
Te (0.5019, 0.2575, 0.6237)
Te (0.8359, 0.9998, 0.7408)
Te (0.8359, 0.5002, 0.2408)
O (0.0048, 0.6290, 0.7625)
O (0.0048, 0.8710, 0.2625)
O (0.0501, 0.5895, 0.3885)
O (0.0501, 0.9105, 0.8885)
O (0.1961, 0.0783, 0.4925)
O (0.1961, 0.4217, 0.9925)
O (0.2985, 0.1764, 0.1565)
O (0.2985, 0.3236, 0.6565)
O (0.3010, 0.6674, 0.1703)
O (0.3010, 0.8326, 0.6703)
O (0.4908, 0.6273, 0.5597)
O (0.4908, 0.8727, 0.0597)
O (0.5092, 0.1273, 0.9403)
O (0.5092, 0.3727, 0.4403)
O (0.6990, 0.1674, 0.3297)
O (0.6990, 0.3326, 0.8297)
O (0.7015, 0.6764, 0.3435)
O (0.7015, 0.8236, 0.8435)
O (0.8039, 0.5783, 0.0075)
O (0.8039, 0.9217, 0.5075)
O (0.9499, 0.0895, 0.1115)
O (0.9499, 0.4105, 0.6115)
O (0.9952, 0.1290, 0.7375)
O (0.9952, 0.3710, 0.2375)

7.
Structure and computed powder X-ray diffraction pattern of TiCdO3 (a GGA-PBE-relaxed structure; Cu Kα, 1.54184 Å).
Peak positions follow from Bragg's law for the DFT cell and can differ from measured ones.

Principal peaks in the range 2θ = 10–80°, sorted by position:
d_spacing	I_rel
3.838	154
2.743	235
2.721	1000
2.685	238
2.236	118
2.204	123
1.930	155
1.919	261
1.579	243
1.567	107
1.557	224
1.361	132

Structure:
Cell lengths 5.4866, 7.7181, 5.3697 Å; angles 90.00, 90.00, 90.00 degrees
Atoms (fractional coordinates):
Ti (0.0000, 0.0000, 0.0000)
Ti (0.0000, 0.5000, 0.0000)
Ti (0.5000, 0.0000, 0.5000)
Ti (0.5000, 0.5000, 0.5000)
Cd (0.0390, 0.2500, 0.4914)
Cd (0.4610, 0.7500, 0.9914)
Cd (0.5390, 0.2500, 0.0086)
Cd (0.9610, 0.7500, 0.5086)
O (0.0280, 0.7500, 0.0894)
O (0.2038, 0.5467, 0.7011)
O (0.2038, 0.9533, 0.7011)
O (0.2962, 0.0467, 0.2011)
O (0.2962, 0.4533, 0.2011)
O (0.4720, 0.2500, 0.5894)
O (0.5280, 0.7500, 0.4106)
O (0.7038, 0.5467, 0.7989)
O (0.7038, 0.9533, 0.7989)
O (0.7962, 0.0467, 0.2989)
O (0.7962, 0.4533, 0.2989)
O (0.9720, 0.2500, 0.9106)